Starting from a PBE-relaxed structure, the X-ray diffraction stick pattern of Ca5Sn4 was simulated for λ = 1.5418 Å (Cu Kα).
No peak broadening, texture or thermal motion is included.

Crystal structure
Cell: 6.235 6.235 10.761 Å, 110.04 110.04 46.23°
Element x y z (fractional)
Ca (0.000, 0.000, 0.000)
Ca (0.092, 0.092, 0.388)
Ca (0.245, 0.245, 0.829)
Ca (0.755, 0.755, 0.171)
Ca (0.908, 0.908, 0.612)
Sn (0.374, 0.374, 0.390)
Sn (0.450, 0.450, 0.158)
Sn (0.550, 0.550, 0.842)
Sn (0.626, 0.626, 0.610)

Top 12 peaks for 10° ≤ 2θ ≤ 90°, in order of falling intensity:
2θ/deg	Rel. int.
35.0	100
20.0	98
30.9	90
34.5	86
36.7	69
28.9	58
21.7	51
16.7	33
36.0	31
38.1	30
29.7	27
31.7	27

Starting from a PBE-relaxed structure, the X-ray diffraction stick pattern of PaCl3 was simulated for λ = 1.5418 Å (Cu Kα).
No peak broadening, texture or thermal motion is included.

Crystal structure
Cell: 7.158 7.158 6.880 Å, 90.00 90.00 120.00°
Element x y z (fractional)
Pa (0.000, 0.000, 0.000)
Pa (0.000, 0.000, 0.500)
Cl (0.000, 0.301, 0.250)
Cl (0.000, 0.699, 0.750)
Cl (0.301, 0.000, 0.250)
Cl (0.301, 0.301, 0.750)
Cl (0.699, 0.000, 0.750)
Cl (0.699, 0.699, 0.250)

Top 12 peaks for 10° ≤ 2θ ≤ 90°, in order of falling intensity:
2θ/deg	Rel. int.
14.3	100
36.2	29
29.7	28
46.9	20
39.1	18
38.4	15
24.9	14
28.8	14
43.8	11
53.3	10
60.2	7
58.1	7

Starting from a PBE-relaxed structure, the X-ray diffraction stick pattern of Nb12CuSn3 was simulated for λ = 1.5418 Å (Cu Kα).
No peak broadening, texture or thermal motion is included.

Crystal structure
Cell: 5.294 5.296 10.559 Å, 90.00 90.00 90.00°
Element x y z (fractional)
Nb (0.000, 0.000, 0.119)
Nb (0.000, 0.000, 0.371)
Nb (0.000, 0.000, 0.629)
Nb (0.000, 0.000, 0.881)
Nb (0.249, 0.500, 0.242)
Nb (0.249, 0.500, 0.758)
Nb (0.500, 0.247, 0.500)
Nb (0.500, 0.259, 0.000)
Nb (0.500, 0.741, 0.000)
Nb (0.500, 0.753, 0.500)
Nb (0.751, 0.500, 0.242)
Nb (0.751, 0.500, 0.758)
Cu (0.000, 0.500, 0.000)
Sn (0.000, 0.500, 0.500)
Sn (0.500, 0.000, 0.251)
Sn (0.500, 0.000, 0.749)

Top 12 peaks for 10° ≤ 2θ ≤ 90°, in order of falling intensity:
2θ/deg	Rel. int.
38.0	100
41.8	88
66.1	30
33.9	26
66.2	15
63.4	14
34.0	13
83.7	13
86.2	11
71.2	11
81.3	8
63.5	7